Simulated powder diffractogram
Compound: Hf2AgAu
Radiation: Cu Kα, 1.54184 Å
Structure: the GGA-PBE geometry in OQMD

Structural model:
```
data_Hf2AgAu
_chemical_formula_sum 'Hf4 Ag2 Au2'
_space_group_name_H-M_alt 'P m c 21'
_space_group_IT_number 26
_space_group_name_Hall 'P 2c -2'
_cell_length_a 4.9080
_cell_length_b 6.4917
_cell_length_c 4.9089
_cell_angle_alpha 90.00
_cell_angle_beta 90.00
_cell_angle_gamma 90.00
loop_
_atom_site_label
_atom_site_type_symbol
_atom_site_fract_x
_atom_site_fract_y
_atom_site_fract_z
Hf1 Hf 0.0000 0.1400 0.0000
Hf2 Hf 0.5000 0.1468 0.4993
Ag1 Ag 0.0000 0.3832 0.5004
Au1 Au 0.5000 0.3716 0.9991
```

The 8 most intense peaks (10° ≤ 2θ ≤ 90°), sorted by position:
- 36.6 deg, I 56.9, (2 0 0)
- 38.0 deg, I 100.0, (1 2 1)
- 52.7 deg, I 20.0, (2 0 2)
- 56.7 deg, I 7.9, (0 4 0)
- 66.8 deg, I 38.1, (3 2 1)
- 69.4 deg, I 15.9, (2 4 0)
- 81.1 deg, I 10.2, (2 4 2)
- 89.2 deg, I 9.6, (4 0 2)

***

Simulated powder diffractogram
Compound: Dy4Tm3Ni2Te2
Radiation: Cu Kα, 1.54184 Å
Structure: the GGA-PBE geometry in OQMD

Structural model:
```
data_Dy4Tm3Ni2Te2
_chemical_formula_sum 'Dy8 Tm6 Ni4 Te4'
_space_group_name_H-M_alt 'I m m 2'
_space_group_IT_number 44
_space_group_name_Hall 'I 2 -2'
_cell_length_a 3.8362
_cell_length_b 15.5597
_cell_length_c 9.5453
_cell_angle_alpha 90.00
_cell_angle_beta 90.00
_cell_angle_gamma 90.00
loop_
_atom_site_label
_atom_site_type_symbol
_atom_site_fract_x
_atom_site_fract_y
_atom_site_fract_z
Dy1 Dy 0.0000 0.1329 0.0000
Dy2 Dy 0.0000 0.3528 0.1475
Tm1 Tm 0.0000 0.0000 0.4183
Tm2 Tm 0.0000 0.3158 0.7980
Ni1 Ni 0.0000 0.2374 0.4884
Te1 Te 0.0000 0.0000 0.7532
Te2 Te 0.0000 0.5000 0.6555
```

The 8 most intense peaks (10° ≤ 2θ ≤ 90°), sorted by position:
- 28.9 deg, I 24.2, (1 3 0)
- 30.4 deg, I 51.7, (1 1 2)
- 33.0 deg, I 81.5, (0 3 3)
- 34.1 deg, I 100.0, (1 4 1)
- 34.6 deg, I 75.4, (0 6 0)
- 36.7 deg, I 23.5, (1 0 3)
- 47.4 deg, I 29.5, (2 0 0)
- 59.0 deg, I 37.9, (2 3 3)

***

Simulated powder diffractogram
Compound: Sm2Ga2Fe15C3
Radiation: Cu Kα, 1.54184 Å
Structure: the GGA-PBE geometry in OQMD

Structural model:
```
data_Sm2Ga2Fe15C3
_chemical_formula_sum 'Sm6 Ga6 Fe45 C9'
_space_group_name_H-M_alt 'R -3 m'
_space_group_IT_number 166
_space_group_name_Hall '-R 3 2"'
_cell_length_a 8.7180
_cell_length_b 8.7180
_cell_length_c 12.5863
_cell_angle_alpha 90.00
_cell_angle_beta 90.00
_cell_angle_gamma 120.00
loop_
_atom_site_label
_atom_site_type_symbol
_atom_site_fract_x
_atom_site_fract_y
_atom_site_fract_z
Sm1 Sm 0.0000 0.0000 0.1506
Ga1 Ga 0.0000 0.0000 0.3975
Fe1 Fe 0.0000 0.2846 0.5000
Fe2 Fe 0.0000 0.5000 0.0000
Fe3 Fe 0.0069 0.5034 0.3471
C1 C 0.0000 0.5000 0.5000
```

The 8 most intense peaks (10° ≤ 2θ ≤ 90°), sorted by position:
- 29.6 deg, I 33.6, (1 1 3)
- 35.7 deg, I 49.2, (3 0 0)
- 37.2 deg, I 44.2, (0 2 4)
- 41.4 deg, I 89.5, (2 2 0)
- 41.9 deg, I 100.0, (3 0 3)
- 42.8 deg, I 33.2, (2 1 4)
- 43.1 deg, I 49.2, (0 0 6)
- 47.0 deg, I 24.0, (2 2 3)

***

Simulated powder diffractogram
Compound: PmCu4Mo2
Radiation: Cu Kα, 1.54184 Å
Structure: the GGA-PBE geometry in OQMD

Structural model:
```
data_PmCu4Mo2
_chemical_formula_sum 'Pm2 Cu8 Mo4'
_space_group_name_H-M_alt 'C 1 m 1'
_space_group_IT_number 8
_space_group_name_Hall 'C -2y'
_cell_length_a 7.4820
_cell_length_b 4.3200
_cell_length_c 7.9244
_cell_angle_alpha 90.00
_cell_angle_beta 90.55
_cell_angle_gamma 90.00
loop_
_atom_site_label
_atom_site_type_symbol
_atom_site_fract_x
_atom_site_fract_y
_atom_site_fract_z
Pm1 Pm 0.0000 0.0000 0.0000
Cu1 Cu 0.0007 0.0000 0.6582
Cu2 Cu 0.1654 0.5000 0.8152
Cu3 Cu 0.1678 0.5000 0.1792
Cu4 Cu 0.4980 0.5000 0.3436
Mo1 Mo 0.1661 0.5000 0.4981
Mo2 Mo 0.3327 0.0000 0.5025
```

The 8 most intense peaks (10° ≤ 2θ ≤ 90°), sorted by position:
- 22.4 deg, I 17.6, (0 0 2)
- 23.8 deg, I 33.2, (1 1 0)
- 26.3 deg, I 19.6, (2 0 -1)
- 26.4 deg, I 20.4, (1 1 1)
- 41.7 deg, I 55.0, (2 0 -3)
- 41.8 deg, I 100.0, (3 1 0)
- 42.0 deg, I 38.7, (1 1 3)
- 76.4 deg, I 22.2, (6 0 0)